# 1
This entry pairs a crystal structure of CaAl3Ir3 with its calculated powder diffractogram. Radiation: Cu Kα X-rays. Structure: a cell relaxed with PBE.
No peak broadening, texture or thermal motion is included.

Principal peaks in the range 5° ≤ 2θ ≤ 70°, low angle first:
- 18.60 deg, rel. 44
- 29.61 deg, rel. 100
- 32.51 deg, rel. 51
- 46.64 deg, rel. 34
- 48.66 deg, rel. 26
- 50.63 deg, rel. 29

Structural model:
```
14
Lattice="6.7463 0.0000 0.0000 0.0000 6.7463 0.0000 0.0000 0.0000 6.7463" Properties=species:S:1:pos:R:3 pbc="T T T"
Ca 0.0000 0.0000 0.0000
Ca 3.3732 3.3732 3.3732
Al 0.0000 1.6866 3.3732
Al 0.0000 5.0597 3.3732
Al 1.6866 3.3732 0.0000
Al 3.3732 0.0000 1.6866
Al 3.3732 0.0000 5.0597
Al 5.0597 3.3732 0.0000
Ir 0.0000 3.3732 1.6866
Ir 0.0000 3.3732 5.0597
Ir 1.6866 0.0000 3.3732
Ir 3.3732 1.6866 0.0000
Ir 3.3732 5.0597 0.0000
Ir 5.0597 0.0000 3.3732
```

---

# 2
This entry pairs a crystal structure of Zr2UPaC4 with its calculated powder diffractogram. Radiation: Cu Kα X-rays. Structure: a cell relaxed with PBE.
No peak broadening, texture or thermal motion is included.

Principal peaks in the range 5° ≤ 2θ ≤ 70°, low angle first:
- 15.55 deg, rel. 33
- 31.40 deg, rel. 35
- 31.84 deg, rel. 100
- 36.81 deg, rel. 89
- 52.74 deg, rel. 31
- 53.32 deg, rel. 30

Structural model:
```
8
Lattice="5.9540 0.0000 0.0000 0.0000 3.4345 0.0000 -1.9776 0.0000 5.6976" Properties=species:S:1:pos:R:3 pbc="T T T"
Zr 0.0000 0.0000 0.0000
Zr 2.9770 1.7172 0.0000
U -0.9888 1.7172 2.8488
Pa 1.9882 0.0000 2.8488
C 0.9492 1.7172 1.3931
C -0.0312 0.0000 4.2975
C 4.0076 0.0000 1.4001
C 3.0272 1.7172 4.3045
```

---

# 3
This entry pairs a crystal structure of PmPtO4 with its calculated powder diffractogram. Radiation: Cu Kα X-rays. Structure: a cell relaxed with PBE.
No peak broadening, texture or thermal motion is included.

Principal peaks in the range 5° ≤ 2θ ≤ 70°, low angle first:
- 27.87 deg, rel. 100
- 30.38 deg, rel. 76
- 32.93 deg, rel. 28
- 33.08 deg, rel. 27
- 49.06 deg, rel. 24
- 58.89 deg, rel. 26

Structural model:
```
12
Lattice="5.7816 -2.5417 0.0000 5.7816 2.5417 0.0000 -1.9193 0.0000 5.1412" Properties=species:S:1:pos:R:3 pbc="T T T"
Pm 4.3421 1.4138 3.8559
Pm 5.3018 -1.4138 1.2853
Pt 2.8908 1.2708 0.0000
Pt 1.9312 -1.2708 2.5706
O 0.6987 0.2345 3.3742
O 1.6583 -0.2345 0.8036
O 4.6613 0.5335 0.2427
O 5.9423 0.5335 2.3279
O 3.7016 -0.5335 2.8133
O 4.9826 -0.5335 4.8985
O 7.9856 0.2345 4.3376
O 8.9452 -0.2345 1.7670
```

---

# 4
This entry pairs a crystal structure of In3AgPd5 with its calculated powder diffractogram. Radiation: Cu Kα X-rays. Structure: a cell relaxed with PBE.
No peak broadening, texture or thermal motion is included.

Principal peaks in the range 5° ≤ 2θ ≤ 70°, low angle first:
- 31.40 deg, rel. 8
- 37.86 deg, rel. 10
- 38.82 deg, rel. 96
- 39.06 deg, rel. 100
- 50.95 deg, rel. 9
- 56.25 deg, rel. 29

Structural model:
```
18
Lattice="7.9885 0.0000 0.0000 -3.9943 6.9183 0.0000 0.0000 0.0000 5.6983" Properties=species:S:1:pos:R:3 pbc="T T T"
In -1.4310 2.4786 1.4246
In -2.5632 4.4397 4.2737
In 2.8620 0.0000 1.4246
In 1.4310 2.4786 4.2737
In 5.1265 0.0000 4.2737
In 2.5632 4.4397 1.4246
Ag 0.0000 0.0000 0.0000
Ag 0.0000 0.0000 2.8491
Pd -1.2396 2.1470 4.2737
Pd -2.7547 4.7713 1.4246
Pd 2.4791 0.0000 4.2737
Pd 1.2396 2.1470 1.4246
Pd 0.0000 4.6122 0.0000
Pd 0.0000 4.6122 2.8491
Pd 3.9943 2.3061 0.0000
Pd 3.9943 2.3061 2.8491
Pd 5.5094 0.0000 1.4246
Pd 2.7547 4.7713 4.2737
```